(1)
# K2HgAuF6
Computed XRD peak list, Cu Kα, 1.54184 Å. Input: a cell relaxed with GGA-PBE.
Peak positions follow from Bragg's law for the DFT cell and can differ from measured ones.

```
data_K2HgAuF6
_chemical_formula_sum 'K8 Hg4 Au4 F24'
_symmetry_space_group_name_H-M 'F m -3 m'
_symmetry_Int_Tables_number 225
_symmetry_space_group_name_Hall '-F 4 2 3'
_cell_length_a 9.101
_cell_length_b 9.101
_cell_length_c 9.101
_cell_angle_alpha 90.00
_cell_angle_beta 90.00
_cell_angle_gamma 90.00
loop_
_atom_site_label
_atom_site_type_symbol
_atom_site_fract_x
_atom_site_fract_y
_atom_site_fract_z
K1 K 0.250 0.250 0.250
Hg1 Hg 0.000 0.000 0.000
Au1 Au 0.000 0.000 0.500
F1 F 0.000 0.000 0.253
```

Largest 12 diffraction maxima, sorted by position, 2θ from 10° to 90°:
2θ/deg	I/Imax
19.51	74
27.72	100
34.13	8
39.61	36
44.52	38
49.03	43
57.26	23
61.09	19
64.78	19
75.30	8
78.67	22
88.61	12


(2)
# NaEuDySeO6
Computed XRD peak list, Cu Kα, 1.54184 Å. Input: a cell relaxed with GGA-PBE.
Peak positions follow from Bragg's law for the DFT cell and can differ from measured ones.

```
data_NaEuDySeO6
_chemical_formula_sum 'Na4 Eu4 Dy4 Se4 O24'
_symmetry_space_group_name_H-M 'F -4 3 m'
_symmetry_Int_Tables_number 216
_symmetry_space_group_name_Hall 'F -4 2 3'
_cell_length_a 8.116
_cell_length_b 8.116
_cell_length_c 8.116
_cell_angle_alpha 90.00
_cell_angle_beta 90.00
_cell_angle_gamma 90.00
loop_
_atom_site_label
_atom_site_type_symbol
_atom_site_fract_x
_atom_site_fract_y
_atom_site_fract_z
Na1 Na 0.000 0.000 0.000
Eu1 Eu 0.000 0.000 0.500
Dy1 Dy 0.250 0.250 0.250
Se1 Se 0.250 0.250 0.750
O1 O 0.022 0.250 0.750
```

Largest 12 diffraction maxima, sorted by position, 2θ from 10° to 90°:
2θ/deg	I/Imax
18.94	30
21.90	8
31.17	100
36.72	21
44.66	32
48.92	10
55.46	39
59.15	7
65.00	19
68.38	6
73.84	18
82.30	6